[1]
For CsZr6CI14, a DFT-relaxed cell (PBE, OQMD) gives the calculated powder diffraction line list in this record (copper Kα).

Structure:
abc: 11.0557 11.0557 13.1874
angles: 90.00 90.00 86.55
Sites, in units of the cell vectors:
Cs1 0.0000 0.0000 0.0000
Cs2 0.5000 0.5000 0.5000
Zr1 0.0440 0.1632 0.6064
Zr2 0.1251 0.8749 0.5931
Zr3 0.1632 0.0440 0.3936
Zr4 0.3368 0.4560 0.8936
Zr5 0.3749 0.6251 0.0931
Zr6 0.4560 0.3368 0.1064
Zr7 0.5440 0.6632 0.8936
Zr8 0.6251 0.3749 0.9069
Zr9 0.6632 0.5440 0.1064
Zr10 0.8368 0.9560 0.6064
Zr11 0.8749 0.1251 0.4069
Zr12 0.9560 0.8368 0.3936
C1 0.0000 0.0000 0.5000
C2 0.5000 0.5000 0.0000
I1 0.0350 0.2120 0.2538
I2 0.1068 0.6444 0.4925
I3 0.1078 0.3922 0.7500
I4 0.1444 0.6068 0.9925
I5 0.1497 0.8503 0.2425
I6 0.2120 0.0350 0.7462
I7 0.2502 0.2502 0.0000
I8 0.2498 0.2498 0.5000
I9 0.2880 0.4650 0.2462
I10 0.3503 0.6497 0.7425
I11 0.3556 0.8932 0.4925
I12 0.3922 0.1078 0.2500
I13 0.3932 0.8556 0.9925
I14 0.4650 0.2880 0.7538
I15 0.5350 0.7120 0.2462
I16 0.6068 0.1444 0.0075
I17 0.6078 0.8922 0.7500
I18 0.6444 0.1068 0.5075
I19 0.6497 0.3503 0.2575
I20 0.7120 0.5350 0.7538
I21 0.7498 0.7498 0.0000
I22 0.7502 0.7502 0.5000
I23 0.7880 0.9650 0.2538
I24 0.8503 0.1497 0.7575
I25 0.8556 0.3932 0.0075
I26 0.8922 0.6078 0.2500
I27 0.8932 0.3556 0.5075
I28 0.9650 0.7880 0.7462

Most intense lines, 10 to 90 degrees two-theta, by angle:
d = 8.463 Å, intensity 37
d = 3.432 Å, intensity 36
d = 3.289 Å, intensity 100
d = 3.129 Å, intensity 74
d = 2.764 Å, intensity 72
d = 2.140 Å, intensity 31
d = 2.118 Å, intensity 20
d = 1.869 Å, intensity 22
d = 1.795 Å, intensity 21
d = 1.716 Å, intensity 25

***

[2]
For HfBi, a DFT-relaxed cell (PBE, OQMD) gives the calculated powder diffraction line list in this record (copper Kα).

Structure:
abc: 4.4437 4.4437 6.2388
angles: 90.00 90.00 120.00
Sites, in units of the cell vectors:
Hf1 0.0000 0.0000 0.0000
Hf2 0.0000 0.0000 0.5000
Bi1 0.3333 0.6667 0.2500
Bi2 0.6667 0.3333 0.7500

Most intense lines, 10 to 90 degrees two-theta, by angle:
d = 3.275 Å, intensity 91
d = 2.423 Å, intensity 100
d = 2.222 Å, intensity 74
d = 1.839 Å, intensity 18
d = 1.830 Å, intensity 18
d = 1.638 Å, intensity 31
d = 1.417 Å, intensity 16
d = 1.318 Å, intensity 30
d = 1.283 Å, intensity 13
d = 1.277 Å, intensity 26

***

[3]
For Ta16Co13, a DFT-relaxed cell (PBE, OQMD) gives the calculated powder diffraction line list in this record (copper Kα).

Structure:
abc: 8.2110 8.2110 8.2110
angles: 109.47 109.47 109.47
Sites, in units of the cell vectors:
Ta1 0.0000 0.0000 0.6911
Ta2 0.0000 0.3977 0.6888
Ta3 0.0000 0.6888 0.3977
Ta4 0.0000 0.6911 0.0000
Ta5 0.2911 0.6023 0.6023
Ta6 0.3089 0.3089 0.3089
Ta7 0.3112 0.3112 0.7089
Ta8 0.3112 0.7089 0.3112
Ta9 0.3977 0.0000 0.6888
Ta10 0.3977 0.6888 0.0000
Ta11 0.6023 0.2911 0.6023
Ta12 0.6023 0.6023 0.2911
Ta13 0.6888 0.0000 0.3977
Ta14 0.6888 0.3977 0.0000
Ta15 0.6911 0.0000 0.0000
Ta16 0.7089 0.3112 0.3112
Co1 0.0000 0.0000 0.0000
Co2 0.0000 0.1865 0.3715
Co3 0.0000 0.3715 0.1865
Co4 0.1850 0.8135 0.8135
Co5 0.1865 0.0000 0.3715
Co6 0.1865 0.3715 0.0000
Co7 0.3715 0.0000 0.1865
Co8 0.3715 0.1865 0.0000
Co9 0.6285 0.6285 0.8150
Co10 0.6285 0.8150 0.6285
Co11 0.8135 0.1850 0.8135
Co12 0.8135 0.8135 0.1850
Co13 0.8150 0.6285 0.6285

Most intense lines, 10 to 90 degrees two-theta, by angle:
d = 3.871 Å, intensity 13
d = 2.534 Å, intensity 12
d = 2.370 Å, intensity 15
d = 2.235 Å, intensity 100
d = 2.021 Å, intensity 11
d = 1.935 Å, intensity 9
d = 1.859 Å, intensity 15
d = 1.290 Å, intensity 21
d = 1.267 Å, intensity 8
d = 1.245 Å, intensity 14

***

[4]
For SrZnSO, a DFT-relaxed cell (PBE, OQMD) gives the calculated powder diffraction line list in this record (copper Kα).

Structure:
abc: 5.9778 7.8017 13.4264
angles: 90.00 90.00 90.00
Sites, in units of the cell vectors:
Sr1 0.2478 0.1254 0.0973
Sr2 0.2478 0.3746 0.5973
Sr3 0.2522 0.6254 0.0973
Sr4 0.2522 0.8746 0.5973
Sr5 0.7478 0.1254 0.4027
Sr6 0.7478 0.3746 0.9027
Sr7 0.7522 0.6254 0.4027
Sr8 0.7522 0.8746 0.9027
Zn1 0.1786 0.6235 0.8184
Zn2 0.1786 0.8765 0.3184
Zn3 0.3214 0.1235 0.8184
Zn4 0.3214 0.3765 0.3184
Zn5 0.6786 0.6235 0.6816
Zn6 0.6786 0.8765 0.1816
Zn7 0.8214 0.1235 0.6816
Zn8 0.8214 0.3765 0.1816
S1 0.2488 0.1264 0.4186
S2 0.2488 0.3736 0.9186
S3 0.2512 0.6264 0.4186
S4 0.2512 0.8736 0.9186
S5 0.7488 0.1264 0.0814
S6 0.7488 0.3736 0.5814
S7 0.7512 0.6264 0.0814
S8 0.7512 0.8736 0.5814
O1 0.1551 0.1239 0.6945
O2 0.1551 0.3761 0.1945
O3 0.3449 0.6239 0.6945
O4 0.3449 0.8761 0.1945
O5 0.6551 0.1239 0.8055
O6 0.6551 0.3761 0.3055
O7 0.8449 0.6239 0.8055
O8 0.8449 0.8761 0.3055

Most intense lines, 10 to 90 degrees two-theta, by angle:
d = 3.357 Å, intensity 27
d = 3.174 Å, intensity 47
d = 2.989 Å, intensity 72
d = 2.941 Å, intensity 100
d = 2.927 Å, intensity 27
d = 2.639 Å, intensity 37
d = 2.096 Å, intensity 69
d = 1.950 Å, intensity 29
d = 1.721 Å, intensity 28
d = 1.492 Å, intensity 26

***

[5]
For Pr6Fe13Ge, a DFT-relaxed cell (PBE, OQMD) gives the calculated powder diffraction line list in this record (copper Kα).

Structure:
abc: 12.9929 12.9929 12.9929
angles: 144.10 144.10 51.68
Sites, in units of the cell vectors:
Pr1 0.0226 0.5226 0.1684
Pr2 0.1080 0.1080 0.0000
Pr3 0.1458 0.9774 0.5000
Pr4 0.3542 0.8542 0.8316
Pr5 0.3920 0.3920 0.0000
Pr6 0.4774 0.6458 0.5000
Pr7 0.5226 0.3542 0.5000
Pr8 0.6080 0.6080 0.0000
Pr9 0.6458 0.1458 0.1684
Pr10 0.8542 0.0226 0.5000
Pr11 0.8920 0.8920 0.0000
Pr12 0.9774 0.4774 0.8316
Fe1 0.0000 0.5000 0.5000
Fe2 0.0184 0.2934 0.5000
Fe3 0.0665 0.2089 0.2754
Fe4 0.1199 0.6199 0.8576
Fe5 0.2066 0.4816 0.5000
Fe6 0.2089 0.9335 0.1424
Fe7 0.2378 0.7378 0.8576
Fe8 0.2622 0.1199 0.5000
Fe9 0.2911 0.4335 0.7246
Fe10 0.2934 0.7934 0.2750
Fe11 0.3801 0.2378 0.5000
Fe12 0.4335 0.7089 0.1424
Fe13 0.4816 0.9816 0.2750
Fe14 0.5000 0.0000 0.5000
Fe15 0.5184 0.0184 0.7250
Fe16 0.5665 0.2911 0.8576
Fe17 0.6199 0.7622 0.5000
Fe18 0.7066 0.2066 0.7250
Fe19 0.7089 0.5665 0.2754
Fe20 0.7378 0.8801 0.5000
Fe21 0.7622 0.2622 0.1424
Fe22 0.7911 0.0665 0.8576
Fe23 0.7934 0.5184 0.5000
Fe24 0.8801 0.3801 0.1424
Fe25 0.9335 0.7911 0.7246
Fe26 0.9816 0.7066 0.5000
Ge1 0.2500 0.2500 0.0000
Ge2 0.7500 0.7500 0.0000

Most intense lines, 10 to 90 degrees two-theta, by angle:
d = 3.254 Å, intensity 89
d = 2.844 Å, intensity 100
d = 2.831 Å, intensity 34
d = 2.598 Å, intensity 40
d = 2.532 Å, intensity 95
d = 2.361 Å, intensity 80
d = 2.324 Å, intensity 38
d = 2.103 Å, intensity 44
d = 1.936 Å, intensity 49
d = 1.586 Å, intensity 39

***

[6]
For Ho4TlB2Pb, a DFT-relaxed cell (PBE, OQMD) gives the calculated powder diffraction line list in this record (copper Kα).

Structure:
abc: 3.6502 3.6502 16.7476
angles: 90.00 90.00 120.00
Sites, in units of the cell vectors:
Ho1 0.0000 0.0000 0.1593
Ho2 0.0000 0.0000 0.8407
Ho3 0.6667 0.3333 0.3401
Ho4 0.6667 0.3333 0.6599
Tl1 0.6667 0.3333 0.0000
B1 0.3333 0.6667 0.2505
B2 0.3333 0.6667 0.7495
Pb1 0.0000 0.0000 0.5000

Most intense lines, 10 to 90 degrees two-theta, by angle:
d = 3.161 Å, intensity 23
d = 2.791 Å, intensity 22
d = 2.751 Å, intensity 100
d = 2.092 Å, intensity 17
d = 1.825 Å, intensity 21
d = 1.604 Å, intensity 18
d = 1.528 Å, intensity 22
d = 1.521 Å, intensity 17
d = 1.168 Å, intensity 15
d = 1.109 Å, intensity 7

***

[7]
For PmEr4Se5, a DFT-relaxed cell (PBE, OQMD) gives the calculated powder diffraction line list in this record (copper Kα).

Structure:
abc: 16.7820 16.7820 16.7820
angles: 13.88 13.88 13.88
Sites, in units of the cell vectors:
Pm1 0.0000 0.0000 0.0000
Er1 0.1991 0.1991 0.1991
Er2 0.4016 0.4016 0.4016
Er3 0.5984 0.5984 0.5984
Er4 0.8009 0.8009 0.8009
Se1 0.1013 0.1013 0.1013
Se2 0.2970 0.2970 0.2970
Se3 0.5000 0.5000 0.5000
Se4 0.7030 0.7030 0.7030
Se5 0.8987 0.8987 0.8987

Most intense lines, 10 to 90 degrees two-theta, by angle:
d = 3.315 Å, intensity 22
d = 2.871 Å, intensity 100
d = 2.033 Å, intensity 36
d = 2.027 Å, intensity 37
d = 1.730 Å, intensity 8
d = 1.656 Å, intensity 19
d = 1.435 Å, intensity 12
d = 1.285 Å, intensity 16
d = 1.282 Å, intensity 17
d = 1.171 Å, intensity 19

***

[8]
For Y2FeTe, a DFT-relaxed cell (PBE, OQMD) gives the calculated powder diffraction line list in this record (copper Kα).

Structure:
abc: 4.9790 4.9790 4.9790
angles: 60.00 60.00 60.00
Sites, in units of the cell vectors:
Y1 0.0000 0.0000 0.0000
Y2 0.2500 0.2500 0.2500
Fe1 0.7500 0.7500 0.7500
Te1 0.5000 0.5000 0.5000

Most intense lines, 10 to 90 degrees two-theta, by angle:
d = 4.065 Å, intensity 4
d = 3.521 Å, intensity 4
d = 2.489 Å, intensity 100
d = 2.123 Å, intensity 2
d = 2.033 Å, intensity 1
d = 1.760 Å, intensity 17
d = 1.574 Å, intensity 2
d = 1.437 Å, intensity 34
d = 1.245 Å, intensity 10
d = 1.113 Å, intensity 15

***

[9]
For Na3GdC3O9, a DFT-relaxed cell (PBE, OQMD) gives the calculated powder diffraction line list in this record (copper Kα).

Structure:
abc: 9.8591 6.4872 6.4872
angles: 114.61 90.00 90.00
Sites, in units of the cell vectors:
Na1 0.0000 0.0000 0.0000
Na2 0.2500 0.6990 0.6639
Na3 0.2500 0.8618 0.2699
Na4 0.5000 0.0000 0.0000
Na5 0.7500 0.2699 0.8618
Na6 0.7500 0.6639 0.6990
Gd1 0.2500 0.2958 0.8416
Gd2 0.7500 0.8416 0.2958
C1 0.0013 0.5360 0.9479
C2 0.2500 0.3064 0.2838
C3 0.4987 0.5360 0.9479
C4 0.5013 0.9479 0.5360
C5 0.7500 0.2838 0.3064
C6 0.9987 0.9479 0.5360
O1 0.0123 0.3456 0.9644
O2 0.1104 0.6260 0.9074
O3 0.1148 0.9656 0.6338
O4 0.2500 0.1166 0.0977
O5 0.2500 0.3008 0.4792
O6 0.2500 0.4947 0.2604
O7 0.3852 0.9656 0.6338
O8 0.3896 0.6260 0.9074
O9 0.4877 0.3456 0.9644
O10 0.5123 0.9644 0.3456
O11 0.6104 0.9074 0.6260
O12 0.6148 0.6338 0.9656
O13 0.7500 0.0977 0.1166
O14 0.7500 0.2604 0.4947
O15 0.7500 0.4792 0.3008
O16 0.8852 0.6338 0.9656
O17 0.8896 0.9074 0.6260
O18 0.9877 0.9644 0.3456

Most intense lines, 10 to 90 degrees two-theta, by angle:
d = 5.459 Å, intensity 39
d = 5.061 Å, intensity 100
d = 4.930 Å, intensity 40
d = 3.069 Å, intensity 25
d = 2.871 Å, intensity 19
d = 2.856 Å, intensity 17
d = 2.531 Å, intensity 40
d = 2.465 Å, intensity 17
d = 2.153 Å, intensity 14
d = 2.016 Å, intensity 14

***

[10]
For Cu6Ag6Sb4TeS12, a DFT-relaxed cell (PBE, OQMD) gives the calculated powder diffraction line list in this record (copper Kα).

Structure:
abc: 9.5601 9.5601 9.5601
angles: 109.47 109.47 109.47
Sites, in units of the cell vectors:
Cu1 0.0000 0.2349 0.2349
Cu2 0.0000 0.7651 0.7651
Cu3 0.2349 0.0000 0.2349
Cu4 0.2349 0.2349 0.0000
Cu5 0.7651 0.0000 0.7651
Cu6 0.7651 0.7651 0.0000
Ag1 0.2500 0.5000 0.7500
Ag2 0.2500 0.7500 0.5000
Ag3 0.5000 0.2500 0.7500
Ag4 0.5000 0.7500 0.2500
Ag5 0.7500 0.2500 0.5000
Ag6 0.7500 0.5000 0.2500
Sb1 0.0000 0.0000 0.5180
Sb2 0.0000 0.5180 0.0000
Sb3 0.4820 0.4820 0.4820
Sb4 0.5180 0.0000 0.0000
Te1 0.0000 0.0000 0.0000
S1 0.0000 0.2360 0.4662
S2 0.0000 0.4662 0.2360
S3 0.2302 0.7640 0.7640
S4 0.2360 0.0000 0.4662
S5 0.2360 0.4662 0.0000
S6 0.4662 0.0000 0.2360
S7 0.4662 0.2360 0.0000
S8 0.5338 0.5338 0.7698
S9 0.5338 0.7698 0.5338
S10 0.7640 0.2302 0.7640
S11 0.7640 0.7640 0.2302
S12 0.7698 0.5338 0.5338

Most intense lines, 10 to 90 degrees two-theta, by angle:
d = 4.507 Å, intensity 13
d = 3.187 Å, intensity 100
d = 2.950 Å, intensity 13
d = 2.760 Å, intensity 39
d = 1.951 Å, intensity 64
d = 1.664 Å, intensity 38
d = 1.593 Å, intensity 10
d = 1.266 Å, intensity 14
d = 1.234 Å, intensity 12
d = 1.127 Å, intensity 17